The following is a calculated XRD peak list of NaMn3P3H2O12. It was derived from the GGA+U geometry in Alexandria, using copper Kα.

Structure:
Lattice parameters (Å, degrees): 8.779 8.779 6.747 107.05 107.05 90.78
Element x y z (fractional)
1 Na 0.046 0.954 0.750
2 Na 0.954 0.046 0.250
3 Mn 0.052 0.376 0.633
4 Mn 0.282 0.718 0.250
5 Mn 0.376 0.052 0.133
6 Mn 0.624 0.948 0.867
7 Mn 0.718 0.282 0.750
8 Mn 0.948 0.624 0.367
9 P 0.103 0.322 0.109
10 P 0.321 0.679 0.750
11 P 0.322 0.103 0.609
12 P 0.678 0.897 0.391
13 P 0.679 0.321 0.250
14 P 0.897 0.678 0.891
15 H 0.370 0.382 0.188
16 H 0.382 0.370 0.688
17 H 0.618 0.630 0.312
18 H 0.630 0.618 0.812
19 O 0.018 0.674 0.107
20 O 0.037 0.387 0.301
21 O 0.148 0.151 0.092
22 O 0.151 0.148 0.592
23 O 0.211 0.715 0.543
24 O 0.262 0.437 0.152
25 O 0.285 0.789 0.957
26 O 0.289 0.501 0.737
27 O 0.326 0.982 0.393
28 O 0.387 0.037 0.801
29 O 0.437 0.262 0.652
30 O 0.499 0.711 0.763
31 O 0.501 0.289 0.237
32 O 0.563 0.738 0.348
33 O 0.613 0.963 0.199
34 O 0.674 0.018 0.607
35 O 0.711 0.499 0.263
36 O 0.715 0.211 0.043
37 O 0.738 0.563 0.848
38 O 0.789 0.285 0.457
39 O 0.849 0.852 0.408
40 O 0.852 0.849 0.908
41 O 0.963 0.613 0.699
42 O 0.982 0.326 0.893

Top 10 peaks for 2θ = 5–70°, by angle:
2theta, intensity
14.17, 90
15.82, 35
27.71, 100
28.84, 45
32.18, 93
32.82, 73
33.11, 48
34.47, 38
35.11, 35
41.18, 41